Starting from a crystal structure in Alexandria, relaxed with GGA-PBE, the X-ray diffraction stick pattern of Na2ZrU2Se6 was simulated for Cu Kα.
Peak positions follow from Bragg's law for the DFT cell and can differ from measured ones.

Cell and atoms:
abc: 6.9681 11.9966 7.5547
angles: 90.00 107.86 90.00
Space group C2/m (No. 12)
Symmetry-distinct sites (fractional):
Na 0.0000 0.1685 0.0000
Zr 0.0000 0.0000 0.5000
U 0.0000 0.3340 0.5000
Se 0.2375 0.1607 0.7270
Se 0.2448 0.0000 0.2724

The 10 most intense peaks (5 to 70 degrees two-theta), in order of falling intensity:
Position (°2θ)	Rel. int.
30.61	100
12.31	78
42.44	39
45.14	24
39.08	20
26.02	20
55.68	13
46.97	12
45.36	11
25.91	10


Starting from a crystal structure in Alexandria, relaxed with GGA-PBE, the X-ray diffraction stick pattern of Tb7Nd3Ho2 was simulated for Cu Kα.
Peak positions follow from Bragg's law for the DFT cell and can differ from measured ones.

Cell and atoms:
abc: 5.8609 3.5792 18.8696
angles: 90.00 93.04 90.00
Space group P2/m (No. 10)
Symmetry-distinct sites (fractional):
Tb 0.0000 0.0000 0.0000
Tb 0.1919 0.5000 0.1771
Tb 0.2571 0.5000 0.5370
Tb 0.3101 0.0000 0.8558
Nd 0.2207 0.0000 0.3664
Nd 0.5000 0.5000 0.0000
Ho 0.2896 0.5000 0.7067

The 10 most intense peaks (5 to 70 degrees two-theta), in order of falling intensity:
Position (°2θ)	Rel. int.
31.04	100
30.54	56
31.59	48
34.55	40
30.67	36
33.08	35
31.39	30
28.42	28
61.29	24
54.01	22


Starting from a crystal structure in Alexandria, relaxed with GGA-PBE, the X-ray diffraction stick pattern of AcLa2Sm2Ho2 was simulated for Cu Kα.
Peak positions follow from Bragg's law for the DFT cell and can differ from measured ones.

Cell and atoms:
abc: 11.6567 5.2166 8.2623
angles: 90.00 98.26 90.00
Space group C2/m (No. 12)
Symmetry-distinct sites (fractional):
Ac 0.0000 0.0000 0.0000
La 0.2146 0.5000 0.1492
Sm 0.1413 0.0000 0.4311
Ho 0.0741 0.5000 0.7040

The 10 most intense peaks (5 to 70 degrees two-theta), in order of falling intensity:
Position (°2θ)	Rel. int.
29.65	100
49.40	36
34.41	34
58.65	29
34.31	17
58.76	15
61.57	13
21.06	1
15.36	1
42.86	1


Starting from a crystal structure in Alexandria, relaxed with GGA-PBE, the X-ray diffraction stick pattern of NdY2Pt was simulated for Cu Kα.
Peak positions follow from Bragg's law for the DFT cell and can differ from measured ones.

Cell and atoms:
abc: 7.1764 9.7017 6.5987
angles: 90.00 90.00 90.00
Space group Pnma (No. 62)
Symmetry-distinct sites (fractional):
Nd 0.0239 0.2500 0.1353
Y 0.1762 0.0626 0.6747
Pt 0.1157 0.7500 0.4354

The 10 most intense peaks (5 to 70 degrees two-theta), in order of falling intensity:
Position (°2θ)	Rel. int.
31.23	100
18.28	66
33.28	46
33.91	43
20.45	40
31.00	39
37.44	33
29.80	30
35.19	27
37.06	26


Starting from a crystal structure in Alexandria, relaxed with GGA-PBE, the X-ray diffraction stick pattern of Y13In2 was simulated for Cu Kα.
Peak positions follow from Bragg's law for the DFT cell and can differ from measured ones.

Cell and atoms:
abc: 6.7511 8.5931 8.9562
angles: 66.55 78.99 82.64
Space group P-1 (No. 2)
Symmetry-distinct sites (fractional):
Y 0.0000 0.0000 0.0000
Y 0.1201 0.4832 0.7365
Y 0.1986 0.2265 0.1530
Y 0.2540 0.9404 0.5797
Y 0.3066 0.6561 0.9742
Y 0.3660 0.4116 0.3909
Y 0.4884 0.1454 0.7937
In 0.0608 0.7689 0.3770

The 10 most intense peaks (5 to 70 degrees two-theta), in order of falling intensity:
Position (°2θ)	Rel. int.
31.85	100
32.78	45
31.67	44
32.65	41
30.99	40
57.91	23
43.59	14
47.44	14
46.44	14
56.17	9


Starting from a crystal structure in Alexandria, relaxed with GGA-PBE, the X-ray diffraction stick pattern of AcPr2Mg2In2 was simulated for Cu Kα.
Peak positions follow from Bragg's law for the DFT cell and can differ from measured ones.

Cell and atoms:
abc: 5.1046 5.1046 28.6467
angles: 90.00 90.00 120.00
Space group R-3m (No. 166, hexagonal axes)
Symmetry-distinct sites (fractional):
Ac 0.0000 0.0000 0.0000
Pr 0.0000 0.0000 0.1317
Mg 0.0000 0.0000 0.4113
In 0.0000 0.0000 0.2591

The 10 most intense peaks (5 to 70 degrees two-theta), in order of falling intensity:
Position (°2θ)	Rel. int.
35.16	100
32.17	95
29.75	89
20.33	79
60.55	33
48.39	31
61.21	30
46.71	26
59.78	25
63.09	18